Record 1
Structure and computed powder XRD pattern of AlSBr3 (a structure optimized by DFT (GGA-PBE); Cu Kα, 1.54184 Å).

Top 10 peaks for 10 to 90 degrees two-theta, in order of rising 2θ:
d_spacing	I/Imax
4.893	37
3.484	37
3.437	37
3.082	100
2.446	21
1.984	27
1.924	23
1.724	27
1.668	15
1.277	12

Crystal structure
```
data_AlSBr3
_cell_length_a 7.9348
_cell_length_b 7.9348
_cell_length_c 6.9680
_cell_angle_alpha 90.00
_cell_angle_beta 90.00
_cell_angle_gamma 120.00
_symmetry_space_group_name_H-M 'P -3 m 1'
_symmetry_Int_Tables_number 164
_symmetry_space_group_name_Hall '-P 3 2"'
loop_
_atom_site_label
_atom_site_type_symbol
_atom_site_fract_x
_atom_site_fract_y
_atom_site_fract_z
Al1 Al 0.3333 0.6667 0.3306
S1 S 0.3333 0.6667 0.6596
Br1 Br 0.1713 0.3427 0.2479
```

***

Record 2
Structure and computed powder XRD pattern of SrMg6AlO8 (a structure optimized by DFT (GGA-PBE); Cu Kα, 1.54184 Å).

Top 10 peaks for 10 to 90 degrees two-theta, in order of rising 2θ:
d_spacing	I/Imax
8.757	22
4.527	14
4.021	17
2.584	35
2.264	100
2.189	46
1.601	30
1.574	54
1.361	13
1.292	25

Crystal structure
```
data_SrMg6AlO8
_cell_length_a 4.5270
_cell_length_b 4.5270
_cell_length_c 8.7567
_cell_angle_alpha 90.00
_cell_angle_beta 90.00
_cell_angle_gamma 90.00
_symmetry_space_group_name_H-M 'P 4/m m m'
_symmetry_Int_Tables_number 123
_symmetry_space_group_name_Hall '-P 4 2'
loop_
_atom_site_label
_atom_site_type_symbol
_atom_site_fract_x
_atom_site_fract_y
_atom_site_fract_z
Sr1 Sr 0.0000 0.0000 0.0000
Mg1 Mg 0.0000 0.0000 0.5000
Mg2 Mg 0.0000 0.5000 0.2622
Mg3 Mg 0.5000 0.5000 0.5000
Al1 Al 0.5000 0.5000 0.0000
O1 O 0.0000 0.0000 0.2734
O2 O 0.0000 0.5000 0.0000
O3 O 0.0000 0.5000 0.5000
O4 O 0.5000 0.5000 0.2465
```